# Pm2TaCu3Ni12
Simulated powder diffraction line list, Cu Ka. Input: a cell relaxed with PBE.

Atomic structure:
```
data_Pm2TaCu3Ni12
_symmetry_space_group_name_H-M 'R -3 m'
_symmetry_Int_Tables_number 166
_symmetry_space_group_name_Hall '-R 3 2"'
_cell_length_a 6.0596
_cell_length_b 6.0596
_cell_length_c 25.5875
_cell_angle_alpha 90.00
_cell_angle_beta 90.00
_cell_angle_gamma 120.00
loop_
_atom_site_label
_atom_site_type_symbol
_atom_site_fract_x
_atom_site_fract_y
_atom_site_fract_z
_atom_site_occupancy
Pm1 Pm 0.0000 0.0000 0.1490 1
Ta1 Ta 0.0000 0.0000 0.5000 1
Cu1 Cu 0.0000 0.5000 0.0000 1
Ni1 Ni 0.0385 0.5193 0.0952 1
Ni2 Ni 0.0763 0.5381 0.6181 1
```

The 8 most intense peaks (2θ = 5–70°), in order of falling intensity:
| d_spacing | 2θ/deg | intensity | index |
| --- | --- | --- | --- |
| 2.855 | 31.3 | 100 | 1 1 3 |
| 2.470 | 36.4 | 48 | 1 1 6 |
| 2.029 | 44.7 | 41 | 2 0 8 |
| 2.127 | 42.5 | 36 | 0 1 11 |
| 1.515 | 61.2 | 33 | 2 2 0 |
| 2.570 | 34.9 | 29 | 2 0 2 |
| 1.714 | 53.5 | 28 | 0 3 3 |
| 1.618 | 56.9 | 25 | 3 0 6 |